1.
Starting from a DFT-relaxed cell (PBE, the Materials Project), the powder XRD pattern of ZnFeSb2 was simulated for a wavelength of 1.5418 Å.

a = 4.228 Å, b = 4.228 Å, c = 5.176 Å
α = 90.00°, β = 90.00°, γ = 120.00°
Positions (direct):
Zn 0.000 0.000 0.000
Fe 0.000 0.000 0.500
Sb 0.333 0.667 0.300
Sb 0.667 0.333 0.700

Largest 8 diffraction maxima, in order of rising 2θ, 5° ≤ 2θ ≤ 70°:
two_theta  I/Imax
17.1  5
29.9  83
42.8  100
46.4  2
53.1  19
56.2  2
59.2  6
62.1  16



2.
Starting from a DFT-relaxed cell (PBE, the Materials Project), the powder XRD pattern of Pr2TlHg was simulated for a wavelength of 1.5418 Å.

a = 5.534 Å, b = 5.534 Å, c = 5.534 Å
α = 60.00°, β = 60.00°, γ = 60.00°
Positions (direct):
Pr 0.250 0.250 0.250
Pr 0.750 0.750 0.750
Tl 0.000 0.000 0.000
Hg 0.500 0.500 0.500

Largest 7 diffraction maxima, in order of rising 2θ, 5° ≤ 2θ ≤ 70°:
two_theta  I/Imax
22.7  3
32.4  100
39.9  1
46.4  19
52.3  2
57.7  39
67.7  12



3.
Starting from a DFT-relaxed cell (PBE, the Materials Project), the powder XRD pattern of Li4Pr3Ge4 was simulated for a wavelength of 1.5418 Å.

a = 8.492 Å, b = 8.492 Å, c = 8.492 Å
α = 149.49°, β = 132.07°, γ = 57.89°
Positions (direct):
Li 0.019 0.829 0.190
Li 0.361 0.171 0.190
Li 0.639 0.829 0.810
Li 0.981 0.171 0.810
Pr 0.000 0.500 0.500
Pr 0.369 0.369 0.000
Pr 0.631 0.631 0.000
Ge 0.213 0.713 0.500
Ge 0.316 0.000 0.316
Ge 0.684 0.000 0.684
Ge 0.787 0.287 0.500

Largest 8 diffraction maxima, in order of rising 2θ, 5° ≤ 2θ ≤ 70°:
two_theta  I/Imax
20.8  22
22.1  18
25.8  32
26.9  26
32.8  24
33.4  72
34.0  100
40.4  26



4.
Starting from a DFT-relaxed cell (PBE, the Materials Project), the powder XRD pattern of MgSi2 was simulated for a wavelength of 1.5418 Å.

a = 6.052 Å, b = 7.196 Å, c = 9.896 Å
α = 91.81°, β = 99.76°, γ = 90.07°
Positions (direct):
Mg 0.124 0.196 0.121
Mg 0.212 0.618 0.369
Mg 0.275 0.293 0.600
Mg 0.367 0.895 0.867
Mg 0.633 0.105 0.133
Mg 0.725 0.707 0.400
Mg 0.788 0.382 0.631
Mg 0.876 0.804 0.879
Si 0.020 0.017 0.381
Si 0.062 0.185 0.839
Si 0.093 0.665 0.646
Si 0.181 0.504 0.912
Si 0.325 0.813 0.139
Si 0.412 0.998 0.374
Si 0.447 0.490 0.144
Si 0.486 0.676 0.634
Si 0.514 0.324 0.366
Si 0.553 0.510 0.856
Si 0.588 0.002 0.626
Si 0.675 0.187 0.861
Si 0.819 0.496 0.088
Si 0.907 0.335 0.354
Si 0.938 0.815 0.161
Si 0.980 0.983 0.619

Largest 8 diffraction maxima, in order of rising 2θ, 5° ≤ 2θ ≤ 70°:
two_theta  I/Imax
35.0  38
35.4  50
36.3  30
36.9  100
38.4  30
39.0  72
39.2  69
46.3  31